# Co7Te
Simulated X-ray diffraction stick pattern, Cu Ka. Input: a DFT-relaxed cell (GGA-PBE, OQMD).

Atomic structure:
Unit cell a=2.655 b=3.444 c=33.326 alpha=90.00 beta=90.00 gamma=90.00
Space group Pmmn (No. 59, origin choice 2)
Unique sites:
Co1 0.250 0.250 0.018 [2 per cell]
Co2 0.250 0.250 0.092 [2 per cell]
Co3 0.250 0.250 0.165 [2 per cell]
Co4 0.250 0.250 0.240 [2 per cell]
Co5 0.250 0.250 0.799 [2 per cell]
Co6 0.250 0.250 0.872 [2 per cell]
Co7 0.250 0.250 0.945 [2 per cell]
Te1 0.250 0.250 0.716 [2 per cell]

Largest 6 diffraction maxima, sorted by position, 2θ from 15° to 90°:
(1 1 0), 2θ = 43.04°, I 100.0; (0 1 13), 2θ = 44.03°, I 49.8; (0 1 14), 2θ = 46.37°, I 34.5; (1 0 13), 2θ = 49.42°, I 34.8; (1 0 14), 2θ = 51.57°, I 24.2; (0 2 0), 2θ = 53.21°, I 25.7

=====

# CoTe2
Simulated X-ray diffraction stick pattern, Cu Ka. Input: a DFT-relaxed cell (GGA-PBE, OQMD).

Atomic structure:
Unit cell a=5.359 b=6.303 c=3.914 alpha=90.00 beta=90.00 gamma=90.00
Space group Pnnm (No. 58)
Unique sites:
Co1 0.000 0.000 0.000 [2 per cell]
Te1 0.227 0.362 0.000 [4 per cell]

Largest 6 diffraction maxima, sorted by position, 2θ from 15° to 90°:
(1 1 1), 2θ = 31.67°, I 100.0; (1 2 0), 2θ = 32.97°, I 75.1; (2 1 1), 2θ = 43.37°, I 55.3; (0 0 2), 2θ = 46.40°, I 27.6; (0 3 1), 2θ = 49.22°, I 30.8; (1 2 2), 2θ = 58.09°, I 29.2

=====

# Co9Te2
Simulated X-ray diffraction stick pattern, Cu Ka. Input: a DFT-relaxed cell (GGA-PBE, OQMD).

Atomic structure:
Unit cell a=2.8426 b=2.8426 c=31.1906 alpha=90.00 beta=90.00 gamma=120.00
Space group P-3m1 (No. 164)
Unique sites:
Co1 0.0000 0.0000 0.0000 [1 per cell]
Co2 0.0000 0.0000 0.1728 [2 per cell]
Co3 0.3333 0.6667 0.1152 [2 per cell]
Co4 0.3333 0.6667 0.7688 [2 per cell]
Co5 0.3333 0.6667 0.9424 [2 per cell]
Te1 0.3333 0.6667 0.2971 [2 per cell]

Largest 6 diffraction maxima, sorted by position, 2θ from 15° to 90°:
(1 0 5), 2θ = 39.35°, I 53.4; (1 0 6), 2θ = 40.55°, I 100.0; (0 1 11), 2θ = 49.00°, I 51.8; (0 1 12), 2θ = 51.10°, I 26.6; (1 1 0), 2θ = 65.71°, I 30.0; (1 1 17), 2θ = 86.65°, I 20.3

=====

# TlCo3Te5
Simulated X-ray diffraction stick pattern, Cu Ka. Input: a DFT-relaxed cell (GGA-PBE, OQMD).

Atomic structure:
Unit cell a=5.7105 b=5.7105 c=7.6357 alpha=90.00 beta=90.00 gamma=120.00
Space group P6/mmm (No. 191)
Unique sites:
Tl1 0.0000 0.0000 0.0000 [1 per cell]
Co1 0.0000 0.5000 0.5000 [3 per cell]
Te1 0.0000 0.0000 0.5000 [1 per cell]
Te2 0.3333 0.6667 0.2474 [4 per cell]

Largest 6 diffraction maxima, sorted by position, 2θ from 15° to 90°:
(1 0 2), 2θ = 29.56°, I 100.0; (1 1 0), 2θ = 31.33°, I 95.2; (2 0 2), 2θ = 43.61°, I 76.5; (2 1 2), 2θ = 54.67°, I 36.1; (1 1 4), 2θ = 58.13°, I 32.8; (2 2 0), 2θ = 65.37°, I 19.8

=====

# Tm4CoTe2
Simulated X-ray diffraction stick pattern, Cu Ka. Input: a DFT-relaxed cell (GGA-PBE, OQMD).

Atomic structure:
Unit cell a=7.795 b=12.076 c=4.075 alpha=90.00 beta=90.00 gamma=90.00
Space group Pbam (No. 55)
Unique sites:
Tm1 0.135 0.192 0.000 [4 per cell]
Tm2 0.194 0.944 0.500 [4 per cell]
Co1 0.000 0.000 0.000 [2 per cell]
Te1 0.066 0.664 0.500 [4 per cell]

Largest 6 diffraction maxima, sorted by position, 2θ from 15° to 90°:
(1 2 1), 2θ = 28.81°, I 38.2; (1 4 0), 2θ = 31.79°, I 78.0; (2 1 1), 2θ = 32.65°, I 100.0; (1 3 1), 2θ = 33.33°, I 56.1; (2 2 1), 2θ = 35.16°, I 37.7; (0 0 2), 2θ = 44.47°, I 34.8

=====

# Tm3CoTe5
Simulated X-ray diffraction stick pattern, Cu Ka. Input: a DFT-relaxed cell (GGA-PBE, OQMD).

Atomic structure:
Unit cell a=8.3829 b=8.3829 c=4.1891 alpha=90.00 beta=90.00 gamma=120.00
Space group P-62m (No. 189)
Unique sites:
Tm1 0.0000 0.2626 0.0000 [3 per cell]
Co1 0.0000 0.0000 0.5000 [1 per cell]
Te1 0.0000 0.7049 0.5000 [3 per cell]
Te2 0.3333 0.6667 0.0000 [2 per cell]

Largest 6 diffraction maxima, sorted by position, 2θ from 15° to 90°:
(1 1 1), 2θ = 30.16°, I 100.0; (2 1 0), 2θ = 32.64°, I 27.6; (3 0 0), 2θ = 37.15°, I 45.6; (2 1 1), 2θ = 39.25°, I 56.5; (3 0 2), 2θ = 58.26°, I 27.7; (5 1 1), 2θ = 76.53°, I 23.0

=====

# Tm3CoTe5
Simulated X-ray diffraction stick pattern, Cu Ka. Input: a DFT-relaxed cell (GGA-PBE, OQMD).

Atomic structure:
Unit cell a=8.5152 b=8.5152 c=3.6865 alpha=90.00 beta=90.00 gamma=120.00
Space group P-62m (No. 189)
Unique sites:
Tm1 0.0000 0.6492 0.0000 [3 per cell]
Co1 0.0000 0.0000 0.0000 [1 per cell]
Te1 0.0000 0.2250 0.5000 [3 per cell]
Te2 0.3333 0.6667 0.5000 [2 per cell]

Largest 6 diffraction maxima, sorted by position, 2θ from 15° to 90°:
(1 1 1), 2θ = 32.12°, I 100.0; (2 0 1), 2θ = 34.40°, I 15.9; (3 0 0), 2θ = 36.55°, I 33.0; (2 1 1), 2θ = 40.58°, I 24.0; (0 0 2), 2θ = 49.44°, I 17.2; (3 0 2), 2θ = 63.03°, I 36.8

=====

# ZrCo2Te
Simulated X-ray diffraction stick pattern, Cu Ka. Input: a DFT-relaxed cell (GGA-PBE, OQMD).

Atomic structure:
Unit cell a=6.409 b=6.409 c=6.409 alpha=90.00 beta=90.00 gamma=90.00
Space group F-43m (No. 216)
Unique sites:
Zr1 0.000 0.000 0.000 [4 per cell]
Co1 0.000 0.000 0.500 [4 per cell]
Co2 0.250 0.250 0.250 [4 per cell]
Te1 0.250 0.250 0.750 [4 per cell]

Largest 6 diffraction maxima, sorted by position, 2θ from 15° to 90°:
(1 1 1), 2θ = 24.05°, I 10.2; (2 2 0), 2θ = 39.78°, I 100.0; (3 1 1), 2θ = 47.02°, I 5.2; (4 0 0), 2θ = 57.52°, I 16.3; (4 2 2), 2θ = 72.21°, I 32.0; (4 4 0), 2θ = 85.76°, I 10.1

=====

# Tm2ThCo2
Simulated X-ray diffraction stick pattern, Cu Ka. Input: a DFT-relaxed cell (GGA-PBE, OQMD).

Atomic structure:
Unit cell a=10.558 b=5.939 c=7.082 alpha=90.00 beta=100.69 gamma=90.00
Space group C2/c (No. 15)
Unique sites:
Tm1 0.157 0.107 0.154 [8 per cell]
Th1 0.000 0.409 0.750 [4 per cell]
Co1 0.156 0.345 0.509 [8 per cell]

Largest 6 diffraction maxima, sorted by position, 2θ from 15° to 90°:
(1 1 -2), 2θ = 29.62°, I 49.9; (3 1 0), 2θ = 29.90°, I 79.0; (3 1 -1), 2θ = 30.61°, I 42.3; (0 2 1), 2θ = 32.79°, I 100.0; (2 0 2), 2θ = 33.57°, I 56.7; (3 1 -2), 2θ = 36.35°, I 50.3

=====

# TlCo10
Simulated X-ray diffraction stick pattern, Cu Ka. Input: a DFT-relaxed cell (GGA-PBE, OQMD).

Atomic structure:
Unit cell a=7.781 b=3.461 c=28.834 alpha=90.00 beta=90.31 gamma=90.00
Space group C2/m (No. 12)
Unique sites:
Tl1 0.144 0.000 0.187 [4 per cell]
Co1 0.048 0.000 0.679 [4 per cell]
Co2 0.050 0.000 0.403 [4 per cell]
Co3 0.050 0.500 0.541 [4 per cell]
Co4 0.052 0.500 0.266 [4 per cell]
Co5 0.149 0.000 0.759 [4 per cell]
Co6 0.150 0.000 0.486 [4 per cell]
Co7 0.150 0.500 0.348 [4 per cell]
Co8 0.150 0.500 0.624 [4 per cell]
Co9 0.247 0.500 0.707 [4 per cell]
Co10 0.249 0.000 0.569 [4 per cell]

Largest 6 diffraction maxima, sorted by position, 2θ from 15° to 90°:
(1 1 10), 2θ = 42.47°, I 92.7; (3 1 -3), 2θ = 44.63°, I 100.0; (1 1 11), 2θ = 44.97°, I 67.9; (3 1 -4), 2θ = 45.42°, I 93.1; (4 0 7), 2θ = 52.11°, I 38.4; (0 2 0), 2θ = 52.92°, I 52.5

=====

# TlCo17
Simulated X-ray diffraction stick pattern, Cu Ka. Input: a DFT-relaxed cell (GGA-PBE, OQMD).

Atomic structure:
Unit cell a=4.274 b=4.932 c=31.268 alpha=90.00 beta=90.05 gamma=90.00
Space group P2_1/m (No. 11)
Unique sites:
Tl1 0.168 0.250 0.292 [2 per cell]
Co1 0.000 0.000 0.000 [2 per cell]
Co2 0.000 0.002 0.194 [4 per cell]
Co3 0.164 0.250 0.870 [2 per cell]
Co4 0.165 0.750 0.256 [2 per cell]
Co5 0.167 0.250 0.064 [2 per cell]
Co6 0.167 0.750 0.065 [2 per cell]
Co7 0.170 0.750 0.871 [2 per cell]
Co8 0.333 0.001 0.129 [4 per cell]
Co9 0.333 0.003 0.743 [4 per cell]
Co10 0.334 0.000 0.935 [4 per cell]
Co11 0.499 0.750 0.193 [2 per cell]
Co12 0.500 0.250 0.000 [2 per cell]
Co13 0.500 0.250 0.194 [2 per cell]

Largest 6 diffraction maxima, sorted by position, 2θ from 15° to 90°:
(1 2 4), 2θ = 43.94°, I 29.9; (2 0 -5), 2θ = 44.83°, I 100.0; (1 2 6), 2θ = 45.90°, I 27.1; (1 2 -10), 2θ = 51.83°, I 43.4; (2 0 11), 2θ = 53.67°, I 18.9; (3 2 0), 2θ = 77.38°, I 26.5

=====

# YTmTlCo2
Simulated X-ray diffraction stick pattern, Cu Ka. Input: a DFT-relaxed cell (GGA-PBE, OQMD).

Atomic structure:
Unit cell a=3.840 b=3.813 c=14.026 alpha=90.00 beta=90.00 gamma=90.00
Space group Amm2 (No. 38)
Unique sites:
Y1 0.000 0.000 0.000 [2 per cell]
Tm1 0.000 0.000 0.280 [2 per cell]
Tl1 0.500 0.000 0.640 [2 per cell]
Co1 0.500 0.000 0.431 [2 per cell]
Co2 0.500 0.000 0.843 [2 per cell]

Largest 6 diffraction maxima, sorted by position, 2θ from 15° to 90°:
(0 1 3), 2θ = 30.25°, I 46.2; (1 1 1), 2θ = 33.74°, I 100.0; (1 0 4), 2θ = 34.64°, I 71.0; (0 1 5), 2θ = 39.90°, I 32.1; (1 1 7), 2θ = 57.21°, I 32.3; (1 2 4), 2θ = 60.28°, I 28.5